The following is a calculated powder diffractogram of Ti3Cr2CoP6O24. It was derived from a PBE+U-relaxed structure, using CuKα.
Lines closer than 0.1° are merged.

The 10 most intense peaks (2θ from 10° to 90°), in order of rising 2θ:
(1 1 0), 20.56 deg, intensity 75
(2 -1 3), 24.18 deg, intensity 100
(2 0 2), 25.25 deg, intensity 15
(3 -1 1), 31.91 deg, intensity 15
(1 1 6), 32.86 deg, intensity 68
(3 0 0), 35.99 deg, intensity 32
(1 2 8), 47.15 deg, intensity 26
(2 2 6), 49.53 deg, intensity 25
(1 4 0), 56.32 deg, intensity 21
(4 1 6), 62.73 deg, intensity 16

Crystal structure
```
data_Ti3Cr2CoP6O24
_cell_length_a 8.6442
_cell_length_b 8.6442
_cell_length_c 21.0631
_cell_angle_alpha 90.00
_cell_angle_beta 90.00
_cell_angle_gamma 120.00
_space_group_name_H-M_alt 'R 3'
_space_group_IT_number 146
_space_group_name_Hall 'R 3'
loop_
_atom_site_label
_atom_site_type_symbol
_atom_site_fract_x
_atom_site_fract_y
_atom_site_fract_z
Ti1 Ti 0.0000 0.0000 0.0000
Ti2 Ti 0.0000 0.0000 0.2107
Ti3 Ti 0.0000 0.0000 0.7087
Cr1 Cr 0.0000 0.0000 0.3572
Cr2 Cr 0.0000 0.0000 0.8560
Co1 Co 0.0000 0.0000 0.4983
P1 P 0.0405 0.3718 0.2701
P2 P 0.0411 0.6684 0.7711
O1 O 0.0006 0.1883 0.6636
O2 O 0.0020 0.2043 0.5428
O3 O 0.0189 0.8357 0.7769
O4 O 0.0237 0.1833 0.2785
O5 O 0.1439 0.6677 0.8316
O6 O 0.1580 0.6870 0.7129
O7 O 0.1613 0.4879 0.6031
O8 O 0.1685 0.6955 0.0951
```